Diffraction record for KRb4Ba2. The X-ray powder pattern is calculated, not measured: it uses a PBE-relaxed structure and Cu Kα (weighted mean of Kα1 and Kα2).
Neutral-atom scattering factors, no anomalous dispersion.

Main lines, by intensity (2θ = 10–80°):
| d_spacing | 2θ/deg | I_rel |
| --- | --- | --- |
| 3.946 | 22.53 | 100 |
| 3.866 | 23.00 | 59 |
| 2.760 | 32.44 | 49 |
| 2.248 | 40.12 | 30 |
| 5.468 | 16.21 | 29 |
| 2.734 | 32.76 | 24 |
| 4.934 | 17.98 | 18 |
| 1.942 | 46.77 | 17 |

Structure:
```
data_KRb4Ba2
_space_group_name_H-M_alt 'I 4/m m m'
_space_group_IT_number 139
_space_group_name_Hall '-I 4 2'
_cell_length_a 7.7330
_cell_length_b 7.7330
_cell_length_c 22.9044
_cell_angle_alpha 90.00
_cell_angle_beta 90.00
_cell_angle_gamma 90.00
loop_
_atom_site_label
_atom_site_type_symbol
_atom_site_fract_x
_atom_site_fract_y
_atom_site_fract_z
_atom_site_occupancy
K1 K 0.0000 0.0000 0.0000 1
Rb1 Rb 0.0000 0.0000 0.1881 1
Rb2 Rb 0.0000 0.5000 0.0000 1
Ba1 Ba 0.0000 0.0000 0.3952 1
```